This entry pairs a crystal structure of K4Pm3NpS8 with its calculated X-ray powder pattern. Radiation: Cu Ka. Structure: the PBE geometry in Alexandria.

Atomic structure:
a = 8.3132 Å, b = 8.3132 Å, c = 22.1356 Å
α = 90.00°, β = 90.00°, γ = 120.00°
Space group R-3m (No. 166, hexagonal axes)
One atom of each set of equivalent atoms:
K  0.0000  0.0000  0.0000
K  0.0000  0.5000  0.0000
Pm  0.0000  0.5000  0.5000
Np  0.0000  0.0000  0.5000
S  0.0000  0.0000  0.2358
S  0.0032  0.5016  0.2349

Peak list (10 most intense, 10° ≤ 2θ ≤ 80°, low angle first)
2theta  I_rel
12.0  76
24.1  17
25.1  29
26.0  37
29.6  100
37.9  20
41.1  36
43.5  34
45.3  18
53.5  18

This entry pairs a crystal structure of SnPH5NO4F with its calculated X-ray powder pattern. Radiation: Cu Ka. Structure: the PBE geometry in Alexandria.

Atomic structure:
a = 6.7823 Å, b = 5.3549 Å, c = 15.9565 Å
α = 90.00°, β = 90.00°, γ = 90.00°
Space group Pnma (No. 62)
One atom of each set of equivalent atoms:
Sn  0.1726  0.2500  0.1912
P  0.1107  0.2500  0.8352
H  0.0626  0.7500  0.3222
H  0.0733  0.2500  0.4618
H  0.1793  0.7500  0.9468
H  0.2240  0.0916  0.5280
N  0.2103  0.2500  0.4915
O  0.0107  0.0152  0.8740
O  0.1113  0.2500  0.7391
O  0.1686  0.7500  0.3685
F  0.1621  0.7500  0.5789

Peak list (10 most intense, 10° ≤ 2θ ≤ 80°, low angle first)
2theta  I_rel
11.1  80
21.2  42
21.9  26
27.0  100
31.2  28
33.2  32
33.5  26
35.3  25
49.4  27
56.0  24

This entry pairs a crystal structure of KRb12Hg7 with its calculated X-ray powder pattern. Radiation: Cu Ka. Structure: the PBE geometry in Alexandria.

Atomic structure:
a = 22.8033 Å, b = 22.8033 Å, c = 7.5724 Å
α = 90.00°, β = 90.00°, γ = 120.00°
Space group R-3 (No. 148, hexagonal axes)
One atom of each set of equivalent atoms:
K  0.0000  0.0000  0.0000
Rb  0.0255  0.5880  0.6625
Rb  0.0496  0.1786  0.3411
Hg  0.0000  0.0000  0.5000
Hg  0.0462  0.1702  0.8493

Peak list (10 most intense, 10° ≤ 2θ ≤ 80°, low angle first)
2theta  I_rel
16.7  15
28.2  100
28.7  96
40.7  36
50.0  19
50.2  43
51.0  19
58.4  14
66.3  16
67.0  16

This entry pairs a crystal structure of BeBiAs with its calculated X-ray powder pattern. Radiation: Cu Ka. Structure: the PBE geometry in Alexandria.

Atomic structure:
a = 3.7448 Å, b = 3.7448 Å, c = 17.8877 Å
α = 90.00°, β = 90.00°, γ = 120.00°
Space group R3m (No. 160, hexagonal axes)
One atom of each set of equivalent atoms:
Be  0.0000  0.0000  0.0000
Bi  0.0000  0.0000  0.4713
As  0.0000  0.0000  0.3186

Peak list (10 most intense, 10° ≤ 2θ ≤ 80°, low angle first)
2theta  I_rel
14.9  34
28.0  100
29.3  55
30.0  34
34.2  24
37.4  36
45.2  34
48.6  29
49.5  18
58.2  32

This entry pairs a crystal structure of La2TbPt with its calculated X-ray powder pattern. Radiation: Cu Ka. Structure: the PBE geometry in Alexandria.

Atomic structure:
a = 7.2591 Å, b = 10.2847 Å, c = 6.6213 Å
α = 90.00°, β = 90.00°, γ = 90.00°
Space group Pnma (No. 62)
One atom of each set of equivalent atoms:
La  0.1785  0.0627  0.1747
Tb  0.0327  0.2500  0.6547
Pt  0.1208  0.7500  0.9434

Peak list (10 most intense, 10° ≤ 2θ ≤ 80°, low angle first)
2theta  I_rel
20.1  33
29.4  100
30.1  49
30.9  89
31.9  67
33.1  65
34.5  35
36.0  43
46.5  38
54.0  41

This entry pairs a crystal structure of Zr3Se4 with its calculated X-ray powder pattern. Radiation: Cu Ka. Structure: the PBE geometry in Alexandria.

Atomic structure:
a = 7.8198 Å, b = 10.6693 Å, c = 3.7977 Å
α = 90.00°, β = 90.00°, γ = 90.00°
Space group Cmmm (No. 65)
One atom of each set of equivalent atoms:
Zr  0.0000  0.0000  0.0000
Zr  0.2500  0.2500  0.5000
Se  0.0000  0.2649  0.0000
Se  0.2426  0.5000  0.5000

Peak list (10 most intense, 10° ≤ 2θ ≤ 80°, low angle first)
2theta  I_rel
14.0  11
32.9  100
33.6  45
46.4  18
47.7  66
47.9  17
58.5  18
59.8  17
68.9  11
78.9  15